Entry 1:
Diffraction record for RbEr4Te6. The XRD peak list is simulated, not measured: it uses a GGA-PBE-relaxed structure and CuKα.
No peak broadening, texture or thermal motion is included.

Peak list (8 most intense, 10 to 90 degrees two-theta, by intensity)
(hkl), 2θ/deg, d/Å, I_rel
0 2 7, 29.7, 3.009, 100
1 3 2, 28.4, 3.142, 100
1 3 1, 27.6, 3.232, 76
0 6 4, 40.3, 2.239, 62
0 2 6, 26.1, 3.411, 56
1 5 5, 42.0, 2.151, 55
2 0 0, 40.9, 2.207, 46
1 1 9, 41.1, 2.199, 37

Crystal structure
abc: 4.414 14.550 23.174
angles: 90.00 90.00 90.00
Space group Cmcm (No. 63)
One atom of each set of equivalent atoms:
Rb: 0.000 0.161 0.250 [4 per cell]
Er: 0.000 0.093 0.630 [8 per cell]
Er: 0.000 0.365 0.539 [8 per cell]
Te: 0.000 0.000 0.000 [4 per cell]
Te: 0.000 0.148 0.750 [4 per cell]
Te: 0.000 0.271 0.082 [8 per cell]
Te: 0.000 0.458 0.653 [8 per cell]

***

Entry 2:
Diffraction record for La6Hg2Ru3. The XRD peak list is simulated, not measured: it uses a GGA-PBE-relaxed structure and CuKα.
No peak broadening, texture or thermal motion is included.

Peak list (8 most intense, 10 to 90 degrees two-theta, by intensity)
(hkl), 2θ/deg, d/Å, I_rel
1 3 1, 29.1, 3.071, 100
0 6 0, 43.5, 2.081, 37
2 0 2, 39.6, 2.275, 31
4 0 0, 53.2, 1.723, 19
4 6 0, 71.0, 1.327, 16
1 3 -2, 31.3, 2.859, 11
3 3 -4, 56.6, 1.626, 10
2 6 2, 60.3, 1.536, 9

Crystal structure
abc: 7.208 12.493 8.179
angles: 90.00 107.04 90.00
Space group C2/m (No. 12)
One atom of each set of equivalent atoms:
La: 0.230 0.168 0.195 [8 per cell]
La: 0.235 0.500 0.195 [4 per cell]
Hg: 0.000 0.166 0.500 [4 per cell]
Ru: 0.000 0.000 0.000 [2 per cell]
Ru: 0.000 0.335 0.000 [4 per cell]

***

Entry 3:
Diffraction record for Ce2ErTh3. The XRD peak list is simulated, not measured: it uses a GGA-PBE-relaxed structure and CuKα.
No peak broadening, texture or thermal motion is included.

Peak list (8 most intense, 10 to 90 degrees two-theta, by intensity)
(hkl), 2θ/deg, d/Å, I_rel
0 2 2, 32.2, 2.779, 100
0 4 0, 30.8, 2.900, 100
3 1 0, 31.6, 2.828, 40
3 3 -2, 38.0, 2.368, 25
3 3 0, 38.7, 2.328, 22
0 6 2, 55.7, 1.650, 21
3 1 -1, 27.8, 3.211, 21
6 2 -2, 57.4, 1.605, 16

Crystal structure
abc: 10.030 11.599 7.260
angles: 90.00 119.27 90.00
Space group C2/c (No. 15)
One atom of each set of equivalent atoms:
Ce: 0.150 0.250 0.280 [8 per cell]
Er: 0.000 0.248 0.750 [4 per cell]
Th: 0.000 0.000 0.000 [4 per cell]
Th: 0.169 0.496 0.007 [8 per cell]

***

Entry 4:
Diffraction record for Li5Rh. The XRD peak list is simulated, not measured: it uses a GGA-PBE-relaxed structure and CuKα.
No peak broadening, texture or thermal motion is included.

Peak list (8 most intense, 10 to 90 degrees two-theta, by intensity)
(hkl), 2θ/deg, d/Å, I_rel
2 0 0, 23.4, 3.801, 100
0 0 1, 20.0, 4.438, 50
1 1 -1, 26.3, 3.391, 49
2 0 -1, 20.6, 4.305, 45
0 2 0, 41.1, 2.194, 38
1 1 -2, 41.0, 2.202, 25
1 1 1, 35.1, 2.556, 23
3 1 -1, 35.9, 2.505, 21

Crystal structure
abc: 9.151 4.389 5.344
angles: 90.00 123.85 90.00
Space group C2/m (No. 12)
One atom of each set of equivalent atoms:
Li: 0.000 0.000 0.000 [2 per cell]
Li: 0.158 0.500 0.828 [4 per cell]
Li: 0.176 0.500 0.361 [4 per cell]
Rh: 0.000 0.000 0.500 [2 per cell]